Simulated X-ray powder pattern
Compound: Mo5Br4
Radiation: Cu Kα (weighted mean of Kα1 and Kα2)
Structure: a structure optimized by DFT (PBE)
No peak broadening, texture or thermal motion is included.

Top 8 peaks for 2θ = 10–90°, low angle first:
Position (°2θ)  I (rel.)
11.85  36
36.07  51
38.65  100
45.92  22
48.77  12
66.58  18
71.61  13
79.37  19

Cell and atoms:
```
Mo5Br4
1.0
-5.282 5.282 1.553
5.282 -5.282 1.553
5.282 5.282 -1.553
Mo Br
5 4
Cartesian
0.000 0.000 0.000
3.733 3.733 0.000
1.549 -1.549 1.553
-1.549 1.549 1.553
1.549 1.549 1.553
3.120 0.000 0.000
7.444 0.000 0.000
0.000 3.120 0.000
0.000 7.444 0.000
```